Entry 1:
# TbSc3Ge3
Calculated XRD peak list, CuKα. Input: a GGA-PBE-relaxed structure.
Peak positions follow from Bragg's law for the DFT cell and can differ from measured ones.

Principal peaks in the range 10° ≤ 2θ ≤ 80°, most intense first:
two_theta  I (rel.)
37.26  100
38.94  90
26.69  70
15.96  30
13.33  30
54.99  28

Atomic structure:
abc: 8.3596 8.3596 16.6585
angles: 90.00 90.00 120.00
Space group R-3 (No. 148, hexagonal axes)
Symmetry-distinct sites (fractional):
Tb: 0.0000 0.0000 0.1677 (multiplicity 6)
Sc: 0.0064 0.2878 0.5953 (multiplicity 18)
Ge: 0.0038 0.3607 0.4238 (multiplicity 18)

=====

Entry 2:
# Tm6ZnS4
Calculated XRD peak list, CuKα. Input: a GGA-PBE-relaxed structure.
Peak positions follow from Bragg's law for the DFT cell and can differ from measured ones.

Principal peaks in the range 10° ≤ 2θ ≤ 80°, most intense first:
two_theta  I (rel.)
30.71  100
32.76  84
30.36  47
31.77  42
27.82  40
46.67  37

Atomic structure:
abc: 3.841 12.713 19.652
angles: 90.00 90.00 90.00
Space group Cmcm (No. 63)
Symmetry-distinct sites (fractional):
Tm: 0.000 0.000 0.000 (multiplicity 4)
Tm: 0.000 0.167 0.250 (multiplicity 4)
Tm: 0.000 0.272 0.586 (multiplicity 8)
Tm: 0.000 0.455 0.163 (multiplicity 8)
Zn: 0.000 0.161 0.750 (multiplicity 4)
S: 0.000 0.091 0.123 (multiplicity 8)
S: 0.000 0.362 0.039 (multiplicity 8)

=====

Entry 3:
# CaBe3Rh3
Calculated XRD peak list, CuKα. Input: a GGA-PBE-relaxed structure.
Peak positions follow from Bragg's law for the DFT cell and can differ from measured ones.

Principal peaks in the range 10° ≤ 2θ ≤ 80°, most intense first:
two_theta  I (rel.)
33.14  100
36.41  46
57.01  24
54.76  24
29.56  21
71.54  21

Atomic structure:
abc: 6.044 6.044 6.044
angles: 90.00 90.00 90.00
Space group Pm-3n (No. 223)
Symmetry-distinct sites (fractional):
Ca: 0.000 0.000 0.000 (multiplicity 2)
Be: 0.000 0.250 0.500 (multiplicity 6)
Rh: 0.000 0.500 0.250 (multiplicity 6)